For LiTb2AlAu6, the GGA-PBE geometry in Alexandria gives the calculated X-ray diffraction stick pattern in this record (CuKα).
Peak positions follow from Bragg's law for the DFT cell and can differ from measured ones.

Top 8 peaks for 2θ = 5–70°, sorted by position:
Position (°2θ)  d [Å]  intensity  h k l
22.31  3.985  58.9  0 1 1
25.30  3.520  52.5  0 0 2
36.38  2.469  55.9  1 0 2
36.72  2.448  63.8  2 -1 0
37.29  2.411  57.0  2 0 0
37.34  2.408  54.9  2 0 -2
38.85  2.318  49.2  1 1 -3
41.64  2.169  100.0  1 2 0

a b c (Å): 5.236 5.749 7.544
angles (deg): 96.82 107.92 101.70
Positions (direct):
Li: 0.000 0.000 0.000
Tb: 0.443 0.238 0.807
Tb: 0.557 0.762 0.193
Al: 0.000 0.500 0.500
Au: 0.027 0.569 0.838
Au: 0.181 0.921 0.406
Au: 0.479 0.261 0.254
Au: 0.521 0.739 0.746
Au: 0.819 0.079 0.594
Au: 0.973 0.431 0.162